Record 1
DyNi3Sb: calculated powder X-ray diffraction pattern (Cu Kα), based on a crystal structure in Alexandria, relaxed with GGA-PBE.

Top 10 peaks for 5 to 70 degrees two-theta, sorted by position:
2θ (°)	I_rel
17.99	19.3
27.77	100.0
30.03	28.3
31.92	32.8
33.72	17.9
37.32	30.6
39.68	28.6
42.71	66.8
44.97	57.4
50.49	54.8

Structure:
a = 6.606 Å, b = 6.606 Å, c = 6.606 Å
α = 132.55°, β = 83.42°, γ = 115.99°
Atoms (fractional coordinates):
Dy 0.325 0.075 0.250
Dy 0.675 0.925 0.750
Ni 0.126 0.000 0.626
Ni 0.126 0.500 0.126
Ni 0.243 0.493 0.750
Ni 0.757 0.507 0.250
Ni 0.874 0.000 0.374
Ni 0.874 0.500 0.874
Sb 0.000 0.500 0.500
Sb 0.500 0.500 0.000


Record 2
DyScNi: calculated powder X-ray diffraction pattern (Cu Kα), based on a crystal structure in Alexandria, relaxed with GGA-PBE.

Top 10 peaks for 5 to 70 degrees two-theta, sorted by position:
2θ (°)	I_rel
15.15	37.5
27.99	42.4
30.58	13.9
35.56	100.0
38.43	48.9
41.53	13.1
47.59	21.0
49.88	14.2
55.47	16.3
67.65	29.2

Structure:
a = 3.313 Å, b = 3.313 Å, c = 11.694 Å
α = 90.00°, β = 90.00°, γ = 90.00°
Atoms (fractional coordinates):
Dy 0.000 0.000 0.000
Dy 0.500 0.500 0.500
Sc 0.000 0.000 0.268
Sc 0.500 0.500 0.768
Ni 0.000 0.000 0.651
Ni 0.500 0.500 0.151


Record 3
DySi3Ni3: calculated powder X-ray diffraction pattern (Cu Kα), based on a crystal structure in Alexandria, relaxed with GGA-PBE.

Top 10 peaks for 5 to 70 degrees two-theta, sorted by position:
2θ (°)	I_rel
20.27	12.4
28.82	43.7
32.31	10.8
35.49	100.0
46.34	3.4
51.06	2.4
53.30	2.4
55.49	54.1
59.69	15.9
67.61	14.8

Structure:
a = 6.196 Å, b = 6.196 Å, c = 6.196 Å
α = 90.00°, β = 90.00°, γ = 90.00°
Atoms (fractional coordinates):
Dy 0.000 0.000 0.000
Dy 0.500 0.500 0.500
Si 0.000 0.250 0.500
Si 0.000 0.750 0.500
Si 0.250 0.500 0.000
Si 0.500 0.000 0.250
Si 0.500 0.000 0.750
Si 0.750 0.500 0.000
Ni 0.000 0.500 0.250
Ni 0.000 0.500 0.750
Ni 0.250 0.000 0.500
Ni 0.500 0.250 0.000
Ni 0.500 0.750 0.000
Ni 0.750 0.000 0.500


Record 4
Dy3Si2Ni2: calculated powder X-ray diffraction pattern (Cu Kα), based on a crystal structure in Alexandria, relaxed with GGA-PBE.

Top 10 peaks for 5 to 70 degrees two-theta, sorted by position:
2θ (°)	I_rel
24.44	48.3
31.60	50.0
34.57	77.1
35.02	76.2
35.33	39.1
35.65	64.9
37.03	43.6
38.58	76.6
40.99	100.0
43.49	41.0

Structure:
a = 5.509 Å, b = 7.727 Å, c = 12.484 Å
α = 90.00°, β = 90.00°, γ = 90.00°
Atoms (fractional coordinates):
Dy 0.133 0.108 0.102
Dy 0.133 0.108 0.398
Dy 0.133 0.392 0.602
Dy 0.133 0.392 0.898
Dy 0.363 0.749 0.750
Dy 0.363 0.751 0.250
Dy 0.637 0.249 0.750
Dy 0.637 0.251 0.250
Dy 0.867 0.608 0.102
Dy 0.867 0.608 0.398
Dy 0.867 0.892 0.602
Dy 0.867 0.892 0.898
Si 0.159 0.098 0.750
Si 0.159 0.402 0.250
Si 0.358 0.750 0.000
Si 0.358 0.750 0.500
Si 0.642 0.250 0.000
Si 0.642 0.250 0.500
Si 0.841 0.598 0.750
Si 0.841 0.902 0.250
Ni 0.383 0.035 0.589
Ni 0.383 0.035 0.911
Ni 0.383 0.465 0.089
Ni 0.383 0.465 0.411
Ni 0.617 0.535 0.589
Ni 0.617 0.535 0.911
Ni 0.617 0.965 0.089
Ni 0.617 0.965 0.411


Record 5
DySi3Ni5: calculated powder X-ray diffraction pattern (Cu Kα), based on a crystal structure in Alexandria, relaxed with GGA-PBE.

Top 10 peaks for 5 to 70 degrees two-theta, sorted by position:
2θ (°)	I_rel
25.38	12.7
36.16	29.5
36.33	21.0
37.35	30.6
38.83	100.0
45.58	12.3
48.06	29.3
51.85	12.3
55.26	10.2
61.60	12.3

Structure:
a = 18.719 Å, b = 3.786 Å, c = 6.649 Å
α = 90.00°, β = 90.00°, γ = 90.00°
Atoms (fractional coordinates):
Dy 0.143 0.250 0.123
Dy 0.357 0.750 0.623
Dy 0.643 0.250 0.377
Dy 0.857 0.750 0.877
Si 0.074 0.750 0.844
Si 0.086 0.750 0.421
Si 0.238 0.250 0.620
Si 0.262 0.750 0.120
Si 0.414 0.250 0.921
Si 0.426 0.250 0.344
Si 0.574 0.750 0.656
Si 0.586 0.750 0.079
Si 0.738 0.250 0.880
Si 0.762 0.750 0.380
Si 0.914 0.250 0.579
Si 0.926 0.250 0.156
Ni 0.006 0.750 0.135
Ni 0.016 0.250 0.386
Ni 0.115 0.250 0.646
Ni 0.199 0.750 0.813
Ni 0.207 0.750 0.429
Ni 0.293 0.250 0.929
Ni 0.301 0.250 0.313
Ni 0.385 0.750 0.146
Ni 0.484 0.750 0.886
Ni 0.494 0.250 0.635
Ni 0.506 0.750 0.365
Ni 0.516 0.250 0.114
Ni 0.615 0.250 0.854
Ni 0.699 0.750 0.687
Ni 0.707 0.750 0.071
Ni 0.793 0.250 0.571
Ni 0.801 0.250 0.187
Ni 0.885 0.750 0.354
Ni 0.984 0.750 0.614
Ni 0.994 0.250 0.865


Record 6
DySiNi4: calculated powder X-ray diffraction pattern (Cu Kα), based on a crystal structure in Alexandria, relaxed with GGA-PBE.

Top 10 peaks for 5 to 70 degrees two-theta, sorted by position:
2θ (°)	I_rel
30.12	21.6
31.08	41.8
35.57	23.0
38.23	100.0
39.39	76.3
40.58	33.1
41.47	31.6
43.48	18.8
45.42	59.9
50.83	34.4

Structure:
a = 7.092 Å, b = 3.593 Å, c = 6.532 Å
α = 90.00°, β = 90.00°, γ = 90.00°
Atoms (fractional coordinates):
Dy 0.250 0.000 0.135
Dy 0.750 0.000 0.865
Si 0.250 0.000 0.704
Si 0.750 0.000 0.296
Ni 0.000 0.000 0.500
Ni 0.059 0.500 0.791
Ni 0.250 0.500 0.461
Ni 0.441 0.500 0.791
Ni 0.500 0.000 0.500
Ni 0.559 0.500 0.209
Ni 0.750 0.500 0.539
Ni 0.941 0.500 0.209


Record 7
Dy2SiNi3: calculated powder X-ray diffraction pattern (Cu Kα), based on a crystal structure in Alexandria, relaxed with GGA-PBE.

Top 10 peaks for 5 to 70 degrees two-theta, sorted by position:
2θ (°)	I_rel
25.34	13.9
25.66	25.3
35.02	48.9
35.25	100.0
44.85	38.6
45.42	19.0
48.64	15.5
57.98	11.5
58.61	21.8
68.30	21.3

Structure:
a = 3.744 Å, b = 3.993 Å, c = 7.028 Å
α = 90.00°, β = 90.00°, γ = 90.00°
Atoms (fractional coordinates):
Dy 0.000 0.000 0.000
Dy 0.000 0.500 0.482
Si 0.500 0.500 0.820
Ni 0.500 0.000 0.326
Ni 0.500 0.000 0.663
Ni 0.500 0.500 0.146


Record 8
DySiNi11: calculated powder X-ray diffraction pattern (Cu Kα), based on a crystal structure in Alexandria, relaxed with GGA-PBE.

Top 10 peaks for 5 to 70 degrees two-theta, sorted by position:
2θ (°)	I_rel
31.38	12.0
34.62	12.9
37.81	18.0
38.52	41.3
43.72	26.0
44.23	100.0
44.49	15.9
44.74	17.2
45.06	26.6
50.22	14.7

Structure:
a = 6.238 Å, b = 6.238 Å, c = 6.203 Å
α = 97.54°, β = 97.54°, γ = 136.01°
Atoms (fractional coordinates):
Dy 0.000 0.000 0.000
Si 0.500 0.500 0.500
Ni 0.000 0.000 0.500
Ni 0.000 0.500 0.000
Ni 0.009 0.656 0.646
Ni 0.285 0.507 0.774
Ni 0.344 0.991 0.354
Ni 0.493 0.715 0.226
Ni 0.500 0.000 0.000
Ni 0.507 0.285 0.774
Ni 0.656 0.009 0.646
Ni 0.715 0.493 0.226
Ni 0.991 0.344 0.354


Number 2 is which compound? DyScNi